Theoretical X-ray powder pattern of KAcTaO5 for Cu Kα, 1.54184 Å, from DFT lattice parameters and positions (PBE).

Top 6 peaks for 15 to 90 degrees two-theta, in order of falling intensity:
2theta  I_rel
28.2  100
22.5  97
24.3  75
28.0  66
15.4  42
31.1  35

Crystal structure
Cell: 6.5926 6.5926 8.6415 Å, 103.32 103.32 106.12°
Element x y z (fractional)
K1 0.1684 0.8316 0.7500
K2 0.8316 0.1684 0.2500
Ac1 0.5000 0.5000 0.0000
Ac2 0.5000 0.5000 0.5000
Ta1 0.1802 0.8198 0.2500
Ta2 0.8198 0.1802 0.7500
O1 0.1024 0.2492 0.8979
O2 0.1833 0.6135 0.3682
O3 0.2492 0.1024 0.3979
O4 0.3865 0.8167 0.1318
O5 0.4316 0.5684 0.7500
O6 0.5684 0.4316 0.2500
O7 0.6135 0.1833 0.8682
O8 0.7508 0.8976 0.6021
O9 0.8167 0.3865 0.6318
O10 0.8976 0.7508 0.1021


Theoretical X-ray powder pattern of Ba2OsO4F for Cu Kα, 1.54184 Å, from DFT lattice parameters and positions (PBE).

Top 6 peaks for 15 to 90 degrees two-theta, in order of falling intensity:
2theta  I_rel
27.7  100
31.3  99
38.7  98
26.2  94
22.3  93
40.0  62

Crystal structure
Cell: 5.2945 5.2945 9.0142 Å, 113.56 113.56 38.02°
Element x y z (fractional)
Ba1 0.1529 0.1529 0.2437
Ba2 0.8471 0.8471 0.7563
Os1 0.0000 0.0000 0.5000
O1 0.1338 0.1338 0.7218
O2 0.3982 0.3982 0.5405
O3 0.6018 0.6018 0.4595
O4 0.8662 0.8662 0.2782
F1 0.5000 0.5000 0.0000